(1)
This entry pairs a crystal structure of K3Np3BiTe8 with its computed PXRD pattern. Radiation: λ = 1.5418 Å (Cu Kα). Structure: a crystal structure in Alexandria, relaxed with GGA-PBE.

```
data_K3Np3BiTe8
_cell_length_a 9.0590
_cell_length_b 9.0590
_cell_length_c 24.8478
_cell_angle_alpha 90.00
_cell_angle_beta 90.00
_cell_angle_gamma 120.00
_symmetry_space_group_name_H-M 'R -3 m'
_symmetry_Int_Tables_number 166
_symmetry_space_group_name_Hall '-R 3 2"'
loop_
_atom_site_label
_atom_site_fract_x
_atom_site_fract_y
_atom_site_fract_z
K1 0.0000 0.5000 0.0000
Np1 0.0000 0.5000 0.5000
Bi1 0.0000 0.0000 0.5000
Te1 0.0000 0.0000 0.2362
Te2 0.0085 0.5043 0.7637
```

Main lines, most intense first (10 to 90 degrees two-theta):
2θ/deg	Rel. int.	h k l
26.88	100	0 2 4
10.68	72	0 0 3
39.80	37	2 2 0
36.91	36	2 0 8
34.06	25	0 2 7
70.39	21	4 2 8
64.61	20	2 4 4
48.68	20	4 0 4
46.39	18	2 0 11
41.33	18	2 2 3
22.95	18	0 2 1
55.42	15	0 4 8

=====

(2)
This entry pairs a crystal structure of PrScTeSe with its computed PXRD pattern. Radiation: λ = 1.5418 Å (Cu Kα). Structure: a crystal structure in Alexandria, relaxed with GGA-PBE.

```
data_PrScTeSe
_cell_length_a 4.1641
_cell_length_b 4.1641
_cell_length_c 21.1181
_cell_angle_alpha 90.00
_cell_angle_beta 90.00
_cell_angle_gamma 120.00
_symmetry_space_group_name_H-M 'R 3 m'
_symmetry_Int_Tables_number 160
_symmetry_space_group_name_Hall 'R 3 -2"'
loop_
_atom_site_label
_atom_site_fract_x
_atom_site_fract_y
_atom_site_fract_z
Pr1 0.0000 0.0000 0.0000
Sc1 0.0000 0.0000 0.5227
Te1 0.0000 0.0000 0.7699
Se1 0.0000 0.0000 0.2501
```

Main lines, most intense first (10 to 90 degrees two-theta):
2θ/deg	Rel. int.	h k l
30.01	100	1 0 4
43.46	38	1 1 0
42.44	31	0 1 8
32.65	20	0 1 5
53.72	19	0 2 4
25.05	16	1 0 1
71.48	16	2 1 4
59.34	12	1 1 9
79.07	10	1 2 8
62.37	10	2 0 8
70.00	9	1 1 12
38.36	7	0 0 9

=====

(3)
This entry pairs a crystal structure of TcSbI with its computed PXRD pattern. Radiation: λ = 1.5418 Å (Cu Kα). Structure: a crystal structure in Alexandria, relaxed with GGA-PBE.

```
data_TcSbI
_cell_length_a 3.4275
_cell_length_b 6.8475
_cell_length_c 7.5700
_cell_angle_alpha 75.90
_cell_angle_beta 89.88
_cell_angle_gamma 90.00
_symmetry_space_group_name_H-M 'P -1'
_symmetry_Int_Tables_number 2
_symmetry_space_group_name_Hall '-P 1'
loop_
_atom_site_label
_atom_site_fract_x
_atom_site_fract_y
_atom_site_fract_z
Tc1 0.0000 0.1892 0.0008
Sb1 0.4989 0.9359 0.2380
I1 0.0011 0.5643 0.7613
```

Main lines, most intense first (10 to 90 degrees two-theta):
2θ/deg	Rel. int.	h k l
12.05	100	0 0 1
29.32	61	1 -1 0
36.16	59	-1 1 2
40.54	54	1 -1 2
47.94	46	1 3 1
32.18	38	0 2 -1
31.62	33	0 2 2
40.09	29	0 2 3
53.49	28	2 0 0
24.24	28	0 0 2
40.83	27	0 2 -2
49.67	22	0 0 4

=====

(4)
This entry pairs a crystal structure of RbNaPt with its computed PXRD pattern. Radiation: λ = 1.5418 Å (Cu Kα). Structure: a crystal structure in Alexandria, relaxed with GGA-PBE.

```
data_RbNaPt
_cell_length_a 6.0785
_cell_length_b 9.6951
_cell_length_c 23.9009
_cell_angle_alpha 90.00
_cell_angle_beta 90.00
_cell_angle_gamma 90.00
_symmetry_space_group_name_H-M 'F d d d'
_symmetry_Int_Tables_number 70
loop_
_symmetry_equiv_pos_as_xyz
'x,y,z'
'-x,-y,-z'
'-x+1/4,-y+1/4,z'
'x+1/4,y+1/4,-z'
'x,-y+1/4,-z+1/4'
'-x,y+1/4,z+1/4'
'-x+1/4,y,-z+1/4'
'x+1/4,-y,z+1/4'
'x,y+1/2,z+1/2'
'-x,-y+1/2,-z+1/2'
'-x+1/4,-y+3/4,z+1/2'
'x+1/4,y+3/4,-z+1/2'
'x,-y+3/4,-z+3/4'
'-x,y+3/4,z+3/4'
'-x+1/4,y+1/2,-z+3/4'
'x+1/4,-y+1/2,z+3/4'
'x+1/2,y,z+1/2'
'-x+1/2,-y,-z+1/2'
'-x+3/4,-y+1/4,z+1/2'
'x+3/4,y+1/4,-z+1/2'
'x+1/2,-y+1/4,-z+3/4'
'-x+1/2,y+1/4,z+3/4'
'-x+3/4,y,-z+3/4'
'x+3/4,-y,z+3/4'
'x+1/2,y+1/2,z'
'-x+1/2,-y+1/2,-z'
'-x+3/4,-y+3/4,z'
'x+3/4,y+3/4,-z'
'x+1/2,-y+3/4,-z+1/4'
'-x+1/2,y+3/4,z+1/4'
'-x+3/4,y+1/2,-z+1/4'
'x+3/4,-y+1/2,z+1/4'
loop_
_atom_site_label
_atom_site_fract_x
_atom_site_fract_y
_atom_site_fract_z
Rb1 0.1250 0.2990 0.1250
Na1 0.1250 0.1250 0.5258
Pt1 0.1250 0.1250 0.0019
```

Main lines, most intense first (10 to 90 degrees two-theta):
2θ/deg	Rel. int.	h k l
17.62	100	1 1 1
38.07	99	2 2 4
29.91	46	0 0 8
14.83	45	0 0 4
33.35	38	1 3 3
40.15	30	0 4 4
31.44	30	1 1 7
36.68	28	1 3 5
34.84	21	2 2 0
20.54	19	1 1 3
58.59	18	2 2 12
73.57	17	2 6 8